The following is a computed powder X-ray diffraction pattern of PmVBO5. It was derived from a PBE+U-relaxed structure, using Cu Kα (λ = 1.5418 Å).
Intensities are scaled so that the largest is 100.

Main lines, in order of falling intensity (2θ = 15–90°):
31.2°, I 100, hkl 1 1 2
28.6°, I 67, hkl 2 0 0
17.9°, I 65, hkl 1 1 0
44.6°, I 47, hkl 1 3 2
21.8°, I 45, hkl 0 2 0
33.7°, I 37, hkl 0 2 2
36.1°, I 32, hkl 1 3 0
52.3°, I 32, hkl 3 1 2

Unit cell a=6.2409 b=8.1372 c=7.0298 alpha=90.00 beta=90.00 gamma=90.00
Space group Cmcm (No. 63)
Unique sites:
1 Pm 0.0000 0.0000 0.0000 [4 per cell]
2 V 0.0000 0.4022 0.2500 [4 per cell]
3 B 0.0000 0.2671 0.7500 [4 per cell]
4 O 0.0000 0.1828 0.2500 [4 per cell]
5 O 0.0000 0.3778 0.5881 [8 per cell]
6 O 0.1820 0.1360 0.7500 [8 per cell]